For Cs2DyHg2Te4, a structure optimized by DFT (GGA-PBE) gives the calculated XRD peak list in this record (copper Kα).
Intensities are scaled so that the largest is 100.

Structure:
Lattice parameters (Å, degrees): 17.7315 4.6864 8.9670 90.00 109.83 90.00
Space group C2/m (No. 12)
Unique sites:
Cs1 0.1341 0.0000 0.0827 x4
Dy1 0.0000 0.0000 0.5000 x2
Hg1 0.1710 0.5000 0.4667 x4
Te1 0.0016 0.5000 0.2664 x4
Te2 0.1861 0.0000 0.6796 x4

Peak list (10 most intense, 2θ = 10–90°, by angle)
- 10.5 deg, rel. 100.0, (0 0 1)
- 24.8 deg, rel. 32.3, (3 1 -1)
- 27.6 deg, rel. 61.0, (1 1 -2)
- 29.0 deg, rel. 71.0, (3 1 -2)
- 29.1 deg, rel. 55.9, (3 1 1)
- 30.3 deg, rel. 33.7, (6 0 -1)
- 32.2 deg, rel. 42.6, (6 0 0)
- 36.3 deg, rel. 31.0, (3 1 2)
- 38.4 deg, rel. 39.6, (0 2 0)
- 45.1 deg, rel. 31.7, (3 1 3)